No. 1
HoErThSc: theoretical X-ray powder pattern (Cu Ka), based on DFT lattice parameters and positions (GGA-PBE).
Intensities are scaled so that the largest is 100.

Top 10 peaks for 2θ from 10° to 90°, most intense first:
- d = 2.760 Å, 2θ = 32.44°, I = 100, hkl 2 2 0
- d = 1.593 Å, 2θ = 57.87°, I = 39, hkl 4 2 2
- d = 1.952 Å, 2θ = 46.53°, I = 18, hkl 4 0 0
- d = 1.234 Å, 2θ = 77.30°, I = 17, hkl 6 2 0
- d = 1.380 Å, 2θ = 67.92°, I = 12, hkl 4 4 0
- d = 4.507 Å, 2θ = 19.70°, I = 11, hkl 1 1 1
- d = 3.903 Å, 2θ = 22.78°, I = 10, hkl 2 0 0
- d = 2.354 Å, 2θ = 38.24°, I = 7, hkl 3 1 1
- d = 1.746 Å, 2θ = 52.42°, I = 5, hkl 4 2 0
- d = 1.127 Å, 2θ = 86.34°, I = 4, hkl 4 4 4

Atomic structure:
Lattice parameters (Å, degrees): 7.806 7.806 7.806 90.00 90.00 90.00
Space group F-43m (No. 216)
One atom of each set of equivalent atoms:
Ho  0.000  0.000  0.000 (multiplicity 4)
Er  0.250  0.250  0.250 (multiplicity 4)
Th  0.000  0.000  0.500 (multiplicity 4)
Sc  0.250  0.250  0.750 (multiplicity 4)

***

No. 2
LaNd4Tm7: theoretical X-ray powder pattern (Cu Ka), based on DFT lattice parameters and positions (GGA-PBE).
Intensities are scaled so that the largest is 100.

Top 10 peaks for 2θ from 10° to 90°, most intense first:
- d = 2.677 Å, 2θ = 33.48°, I = 100, hkl 2 0 1
- d = 2.818 Å, 2θ = 31.75°, I = 76, hkl 2 0 -2
- d = 2.878 Å, 2θ = 31.07°, I = 57, hkl 0 0 3
- d = 3.104 Å, 2θ = 28.76°, I = 43, hkl 1 -2 0
- d = 2.811 Å, 2θ = 31.84°, I = 38, hkl 1 2 1
- d = 1.806 Å, 2θ = 50.52°, I = 29, hkl 3 2 -1
- d = 1.531 Å, 2θ = 60.48°, I = 26, hkl 3 2 -4
- d = 1.528 Å, 2θ = 60.61°, I = 25, hkl 3 2 2
- d = 1.592 Å, 2θ = 57.91°, I = 21, hkl 2 0 4
- d = 2.249 Å, 2θ = 40.09°, I = 18, hkl -1 2 3

Atomic structure:
Lattice parameters (Å, degrees): 6.263 7.209 8.887 90.08 103.67 90.04
Space group P-1 (No. 2)
One atom of each set of equivalent atoms:
La  0.000  0.000  0.000 (multiplicity 1)
Nd  0.222  0.500  0.669 (multiplicity 2)
Nd  0.280  0.751  0.336 (multiplicity 2)
Tm  0.000  0.500  0.000 (multiplicity 1)
Tm  0.222  0.000  0.666 (multiplicity 2)
Tm  0.277  0.248  0.333 (multiplicity 2)
Tm  0.499  0.248  0.001 (multiplicity 2)

***

No. 3
Th2TcSn: theoretical X-ray powder pattern (Cu Ka), based on DFT lattice parameters and positions (GGA-PBE).
Intensities are scaled so that the largest is 100.

Top 10 peaks for 2θ from 10° to 90°, most intense first:
- d = 2.900 Å, 2θ = 30.84°, I = 100, hkl 0 1 2
- d = 2.985 Å, 2θ = 29.93°, I = 81, hkl 2 0 -2
- d = 2.423 Å, 2θ = 37.11°, I = 79, hkl 2 1 0
- d = 2.929 Å, 2θ = 30.52°, I = 74, hkl 1 1 1
- d = 2.374 Å, 2θ = 37.90°, I = 44, hkl 1 1 -3
- d = 3.308 Å, 2θ = 26.96°, I = 38, hkl 1 1 -1
- d = 1.986 Å, 2θ = 45.67°, I = 37, hkl 0 2 0
- d = 2.297 Å, 2θ = 39.22°, I = 30, hkl 1 0 3
- d = 1.654 Å, 2θ = 55.57°, I = 30, hkl 2 2 -2
- d = 2.387 Å, 2θ = 37.69°, I = 29, hkl 2 1 -2

Atomic structure:
Lattice parameters (Å, degrees): 6.471 3.973 8.975 90.00 109.04 90.00
Space group P2_1/m (No. 11)
One atom of each set of equivalent atoms:
Th  0.160  0.250  0.388 (multiplicity 2)
Th  0.260  0.750  0.040 (multiplicity 2)
Tc  0.115  0.250  0.799 (multiplicity 2)
Sn  0.375  0.750  0.700 (multiplicity 2)

***

No. 4
Tm2Ga10Os3: theoretical X-ray powder pattern (Cu Ka), based on DFT lattice parameters and positions (GGA-PBE).
Intensities are scaled so that the largest is 100.

Top 10 peaks for 2θ from 10° to 90°, most intense first:
- d = 2.484 Å, 2θ = 36.16°, I = 100, hkl 2 1 2
- d = 2.107 Å, 2θ = 42.92°, I = 94, hkl 3 1 2
- d = 2.159 Å, 2θ = 41.85°, I = 91, hkl 4 1 0
- d = 3.980 Å, 2θ = 22.33°, I = 55, hkl 2 1 0
- d = 2.237 Å, 2θ = 40.33°, I = 43, hkl 2 2 2
- d = 2.098 Å, 2θ = 43.12°, I = 28, hkl 3 3 0
- d = 1.991 Å, 2θ = 45.57°, I = 24, hkl 4 2 0
- d = 1.280 Å, 2θ = 74.06°, I = 22, hkl 4 1 4
- d = 1.376 Å, 2θ = 68.14°, I = 22, hkl 5 3 2
- d = 4.473 Å, 2θ = 19.85°, I = 22, hkl 1 1 1

Atomic structure:
Lattice parameters (Å, degrees): 8.901 8.901 6.359 90.00 90.00 90.00
Space group P4/mbm (No. 127)
One atom of each set of equivalent atoms:
Tm  0.183  0.317  0.000 (multiplicity 4)
Ga  0.000  0.500  0.282 (multiplicity 4)
Ga  0.061  0.793  0.292 (multiplicity 16)
Os  0.000  0.000  0.000 (multiplicity 2)
Os  0.178  0.322  0.500 (multiplicity 4)

***

No. 5
Er5HPb4: theoretical X-ray powder pattern (Cu Ka), based on DFT lattice parameters and positions (GGA-PBE).
Intensities are scaled so that the largest is 100.

Top 10 peaks for 2θ from 10° to 90°, most intense first:
- d = 3.018 Å, 2θ = 29.60°, I = 100, hkl 1 3 0
- d = 2.163 Å, 2θ = 41.76°, I = 77, hkl 1 3 2
- d = 3.101 Å, 2θ = 28.79°, I = 51, hkl 0 0 2
- d = 1.758 Å, 2θ = 52.02°, I = 37, hkl 4 2 2
- d = 2.134 Å, 2θ = 42.35°, I = 35, hkl 4 2 0
- d = 1.238 Å, 2θ = 77.06°, I = 19, hkl 7 1 2
- d = 1.379 Å, 2θ = 67.97°, I = 17, hkl 1 3 4
- d = 1.357 Å, 2θ = 69.24°, I = 14, hkl 2 6 2
- d = 1.350 Å, 2θ = 69.66°, I = 14, hkl 7 1 0
- d = 1.509 Å, 2θ = 61.43°, I = 12, hkl 2 6 0

Atomic structure:
Lattice parameters (Å, degrees): 9.544 9.544 6.202 90.00 90.00 90.00
Space group I4 (No. 79)
One atom of each set of equivalent atoms:
Er  0.000  0.000  0.000 (multiplicity 2)
Er  0.100  0.277  0.438 (multiplicity 8)
H  0.000  0.000  0.370 (multiplicity 2)
Pb  0.088  0.305  0.935 (multiplicity 8)

***

No. 6
Sr2TmPuSe4: theoretical X-ray powder pattern (Cu Ka), based on DFT lattice parameters and positions (GGA-PBE).
Intensities are scaled so that the largest is 100.

Top 10 peaks for 2θ from 10° to 90°, most intense first:
- d = 3.010 Å, 2θ = 29.68°, I = 100, hkl 1 1 1
- d = 2.143 Å, 2θ = 42.17°, I = 37, hkl 1 1 -3
- d = 2.114 Å, 2θ = 42.78°, I = 37, hkl 0 2 0
- d = 7.047 Å, 2θ = 12.56°, I = 21, hkl 0 0 1
- d = 1.353 Å, 2θ = 69.45°, I = 16, hkl 0 2 4
- d = 1.729 Å, 2θ = 52.97°, I = 13, hkl 2 2 -2
- d = 1.505 Å, 2θ = 61.64°, I = 12, hkl 2 2 2
- d = 3.459 Å, 2θ = 25.75°, I = 12, hkl 2 0 0
- d = 1.339 Å, 2θ = 70.29°, I = 11, hkl 4 2 0
- d = 1.226 Å, 2θ = 77.89°, I = 8, hkl 4 2 -4

Atomic structure:
Lattice parameters (Å, degrees): 7.331 4.223 7.457 90.00 109.09 90.00
Space group P2/m (No. 10)
One atom of each set of equivalent atoms:
Sr  0.000  0.000  0.000 (multiplicity 1)
Sr  0.500  0.500  0.000 (multiplicity 1)
Tm  0.000  0.500  0.500 (multiplicity 1)
Pu  0.500  0.000  0.500 (multiplicity 1)
Se  0.235  0.000  0.728 (multiplicity 2)
Se  0.249  0.500  0.268 (multiplicity 2)

***

No. 7
PuSn2Pd7Au2: theoretical X-ray powder pattern (Cu Ka), based on DFT lattice parameters and positions (GGA-PBE).
Intensities are scaled so that the largest is 100.

Top 10 peaks for 2θ from 10° to 90°, most intense first:
- d = 2.426 Å, 2θ = 37.06°, I = 100, hkl 0 2 3
- d = 2.393 Å, 2θ = 37.58°, I = 51, hkl 2 0 3
- d = 2.062 Å, 2θ = 43.91°, I = 35, hkl 2 2 0
- d = 2.139 Å, 2θ = 42.25°, I = 31, hkl 0 0 6
- d = 1.241 Å, 2θ = 76.83°, I = 24, hkl 4 2 3
- d = 1.485 Å, 2θ = 62.57°, I = 20, hkl 2 2 6
- d = 1.857 Å, 2θ = 49.04°, I = 20, hkl 2 2 3
- d = 2.888 Å, 2θ = 30.97°, I = 18, hkl 2 0 0
- d = 2.146 Å, 2θ = 42.10°, I = 14, hkl 2 0 4
- d = 1.254 Å, 2θ = 75.85°, I = 14, hkl 2 4 3

Atomic structure:
Lattice parameters (Å, degrees): 5.775 5.891 12.835 90.00 90.00 90.00
Space group Cmmm (No. 65)
One atom of each set of equivalent atoms:
Pu  0.000  0.000  0.000 (multiplicity 2)
Sn  0.000  0.000  0.325 (multiplicity 4)
Pd  0.000  0.253  0.500 (multiplicity 4)
Pd  0.000  0.500  0.000 (multiplicity 2)
Pd  0.250  0.250  0.161 (multiplicity 8)
Au  0.000  0.500  0.316 (multiplicity 4)

***

No. 8
Ac2Ni3Rh: theoretical X-ray powder pattern (Cu Ka), based on DFT lattice parameters and positions (GGA-PBE).
Intensities are scaled so that the largest is 100.

Top 10 peaks for 2θ from 10° to 90°, most intense first:
- d = 2.757 Å, 2θ = 32.48°, I = 100, hkl 1 1 1
- d = 3.631 Å, 2θ = 24.52°, I = 24, hkl 0 0 2
- d = 1.490 Å, 2θ = 62.32°, I = 24, hkl 2 2 0
- d = 2.095 Å, 2θ = 43.19°, I = 24, hkl 1 0 3
- d = 1.670 Å, 2θ = 54.99°, I = 15, hkl 2 1 2
- d = 2.118 Å, 2θ = 42.69°, I = 12, hkl 0 2 0
- d = 2.100 Å, 2θ = 43.08°, I = 12, hkl 2 0 0
- d = 1.316 Å, 2θ = 71.72°, I = 10, hkl 1 3 1
- d = 1.829 Å, 2θ = 49.85°, I = 8, hkl 0 2 2
- d = 1.666 Å, 2θ = 55.11°, I = 7, hkl 0 1 4

Atomic structure:
Lattice parameters (Å, degrees): 4.199 4.236 7.250 90.00 90.00 90.00
Space group Pmm2 (No. 25)
One atom of each set of equivalent atoms:
Ac  0.000  0.000  0.000 (multiplicity 1)
Ac  0.500  0.000  0.499 (multiplicity 1)
Ni  0.000  0.500  0.342 (multiplicity 1)
Ni  0.000  0.500  0.667 (multiplicity 1)
Ni  0.500  0.500  0.822 (multiplicity 1)
Rh  0.500  0.500  0.164 (multiplicity 1)

***

Which formula does entry 5 have? Er5HPb4